Starting from the GGA+U geometry in Alexandria, the X-ray diffraction stick pattern of Li3P3WO11 was simulated for Cu Kα (λ = 1.5418 Å).

Largest 8 diffraction maxima, in order of rising 2θ, 10° ≤ 2θ ≤ 90°:
two_theta, intensity, h k l
11.51, 40, 0 0 1
13.14, 95, 0 1 -1
14.26, 100, 1 0 0
19.20, 44, 1 1 -1
21.94, 30, 0 1 -2
23.15, 73, 0 2 0
25.00, 28, 1 -2 0
29.38, 42, 0 1 2

```
data_Li3P3WO11
_cell_length_a 6.3861
_cell_length_b 8.2555
_cell_length_c 8.3077
_cell_angle_alpha 108.95
_cell_angle_beta 98.91
_cell_angle_gamma 96.62
_symmetry_space_group_name_H-M 'P 1'
_symmetry_Int_Tables_number 1
loop_
_symmetry_equiv_pos_as_xyz
'x,y,z'
loop_
_atom_site_label
_atom_site_type_symbol
_atom_site_fract_x
_atom_site_fract_y
_atom_site_fract_z
_atom_site_occupancy
Li1 Li 0.0893 0.3266 0.2919 1
Li2 Li 0.0927 0.7860 0.4716 1
Li3 Li 0.2197 0.9779 0.9860 1
Li4 Li 0.7803 0.0221 0.0140 1
Li5 Li 0.9073 0.2140 0.5284 1
Li6 Li 0.9107 0.6734 0.7081 1
P1 P 0.1222 0.2800 0.9235 1
P2 P 0.3654 0.6179 0.7399 1
P3 P 0.3768 0.1459 0.3857 1
P4 P 0.6232 0.8541 0.6143 1
P5 P 0.6346 0.3821 0.2601 1
P6 P 0.8778 0.7200 0.0765 1
W1 W 0.4084 0.7227 0.1825 1
W2 W 0.5916 0.2773 0.8175 1
O1 O 0.0487 0.1849 0.0425 1
O2 O 0.0772 0.7191 0.2132 1
O3 O 0.1517 0.1475 0.4178 1
O4 O 0.1701 0.6297 0.6178 1
O5 O 0.2454 0.4641 0.0340 1
O6 O 0.2731 0.1715 0.8191 1
O7 O 0.3731 0.7401 0.9272 1
O8 O 0.3954 0.4345 0.7253 1
O9 O 0.3962 0.9903 0.2254 1
O10 O 0.4210 0.3116 0.3217 1
O11 O 0.4353 0.8236 0.4604 1
O12 O 0.5647 0.1764 0.5396 1
O13 O 0.5790 0.6884 0.6783 1
O14 O 0.6038 0.0097 0.7746 1
O15 O 0.6046 0.5655 0.2747 1
O16 O 0.6269 0.2599 0.0728 1
O17 O 0.7269 0.8285 0.1809 1
O18 O 0.7546 0.5359 0.9660 1
O19 O 0.8299 0.3703 0.3822 1
O20 O 0.8483 0.8525 0.5822 1
O21 O 0.9228 0.2809 0.7868 1
O22 O 0.9513 0.8151 0.9575 1
```